The following is a theoretical powder XRD pattern of TiBi3O7. It was derived from the PBE geometry in Alexandria, using Cu Kα X-rays.
Neutral-atom scattering factors, no anomalous dispersion.

Main lines, by angle (2θ from 15° to 90°):
- 3.162 Å, 2θ = 28.22°, I 95
- 3.087 Å, 2θ = 28.92°, I 100
- 2.723 Å, 2θ = 32.89°, I 46
- 2.671 Å, 2θ = 33.55°, I 23
- 1.907 Å, 2θ = 47.70°, I 51
- 1.623 Å, 2θ = 56.73°, I 38

Structure:
```
22
Lattice="3.923 -5.342 0.000 3.923 5.342 0.000 0.000 0.000 7.566" Properties=species:S:1:pos:R:3 pbc="T T T"
Ti 0.105 0.000 0.000
Ti 7.740 0.000 3.783
Bi 5.756 -2.846 1.821
Bi 2.090 2.846 5.604
Bi 3.523 0.000 3.783
Bi 5.756 2.846 5.746
Bi 2.090 -2.846 1.963
Bi 4.323 0.000 0.000
O 1.341 1.399 7.228
O 3.923 4.733 5.675
O 1.601 1.279 4.029
O 1.341 -1.399 0.338
O 1.601 -1.279 3.537
O 3.923 1.531 5.675
O 3.923 1.490 1.892
O 3.923 -1.490 5.675
O 3.923 -1.531 1.892
O 6.244 1.279 7.320
O 6.505 1.399 4.121
O 6.244 -1.279 0.246
O 3.923 -4.733 1.892
O 6.505 -1.399 3.445
```